Simulated powder X-ray diffraction pattern of PuPa2Bi9 for Cu Ka, from a structure optimized by DFT (GGA-PBE).
Peak positions follow from Bragg's law for the DFT cell and can differ from measured ones.

Main lines, sorted by position (2θ from 15° to 90°):
| two_theta | d_spacing | I/Imax |
| --- | --- | --- |
| 31.55 | 2.836 | 100 |
| 36.59 | 2.456 | 51 |
| 52.71 | 1.737 | 37 |
| 62.74 | 1.481 | 44 |
| 65.87 | 1.418 | 13 |
| 77.78 | 1.228 | 6 |
| 86.34 | 1.127 | 19 |
| 89.16 | 1.098 | 18 |

Structure:
Cell: 4.912 4.912 14.732 Å, 90.00 90.00 90.00°
Fractional positions:
Pu (0.000, 0.000, 0.000)
Pa (0.000, 0.000, 0.336)
Pa (0.000, 0.000, 0.664)
Bi (0.000, 0.500, 0.170)
Bi (0.000, 0.500, 0.500)
Bi (0.000, 0.500, 0.830)
Bi (0.500, 0.000, 0.170)
Bi (0.500, 0.000, 0.500)
Bi (0.500, 0.000, 0.830)
Bi (0.500, 0.500, 0.000)
Bi (0.500, 0.500, 0.333)
Bi (0.500, 0.500, 0.667)

***

Simulated powder X-ray diffraction pattern of Nd2ScBi2 for Cu Ka, from a structure optimized by DFT (GGA-PBE).
Peak positions follow from Bragg's law for the DFT cell and can differ from measured ones.

Main lines, sorted by position (2θ from 15° to 90°):
| two_theta | d_spacing | I/Imax |
| --- | --- | --- |
| 21.38 | 4.157 | 89 |
| 27.82 | 3.207 | 100 |
| 28.72 | 3.108 | 79 |
| 35.35 | 2.539 | 74 |
| 36.08 | 2.489 | 62 |
| 38.23 | 2.354 | 99 |
| 40.41 | 2.232 | 84 |
| 46.17 | 1.966 | 51 |

Structure:
Cell: 8.137 8.137 8.137 Å, 118.56 80.36 133.58°
Fractional positions:
Nd (0.143, 0.150, 0.293)
Nd (0.357, 0.650, 0.008)
Nd (0.643, 0.350, 0.992)
Nd (0.857, 0.850, 0.707)
Sc (0.250, 0.750, 0.500)
Sc (0.750, 0.250, 0.500)
Bi (0.112, 0.761, 0.873)
Bi (0.388, 0.261, 0.650)
Bi (0.612, 0.739, 0.350)
Bi (0.888, 0.239, 0.127)

***

Simulated powder X-ray diffraction pattern of RbPmAgCl5 for Cu Ka, from a structure optimized by DFT (GGA-PBE).
Peak positions follow from Bragg's law for the DFT cell and can differ from measured ones.

Main lines, sorted by position (2θ from 15° to 90°):
| two_theta | d_spacing | I/Imax |
| --- | --- | --- |
| 18.88 | 4.700 | 100 |
| 21.17 | 4.197 | 69 |
| 23.21 | 3.832 | 60 |
| 23.60 | 3.770 | 70 |
| 35.48 | 2.530 | 30 |
| 38.61 | 2.332 | 38 |
| 39.81 | 2.264 | 28 |
| 40.99 | 2.202 | 30 |

Structure:
Cell: 7.775 7.775 10.364 Å, 102.40 102.40 108.97°
Fractional positions:
Rb (0.157, 0.843, 0.750)
Rb (0.843, 0.157, 0.250)
Pm (0.500, 0.500, 0.000)
Pm (0.500, 0.500, 0.500)
Ag (0.187, 0.813, 0.250)
Ag (0.813, 0.187, 0.750)
Cl (0.134, 0.248, 0.934)
Cl (0.197, 0.592, 0.404)
Cl (0.248, 0.134, 0.434)
Cl (0.408, 0.803, 0.096)
Cl (0.426, 0.574, 0.750)
Cl (0.574, 0.426, 0.250)
Cl (0.592, 0.197, 0.904)
Cl (0.752, 0.866, 0.566)
Cl (0.803, 0.408, 0.596)
Cl (0.866, 0.752, 0.066)